(1)
Zn4Cu5Te3O18: simulated PXRD pattern (Cu Kα), based on a cell relaxed with GGA-PBE.
Lines closer than 0.1° are merged.

Unit cell a=15.0564 b=8.8443 c=10.5436 alpha=90.00 beta=93.89 gamma=90.00
Space group C2 (No. 5)
Asymmetric unit:
Zn1 0.0216 0.0000 0.2992 (multiplicity 4)
Zn2 0.0230 0.3130 0.8000 (multiplicity 4)
Zn3 0.2021 0.5157 0.6757 (multiplicity 4)
Zn4 0.2017 0.7937 0.1757 (multiplicity 4)
Cu1 0.0000 0.4730 0.5000 (multiplicity 2)
Cu2 0.0000 0.8384 0.0000 (multiplicity 2)
Cu3 0.1474 0.5047 0.0110 (multiplicity 4)
Cu4 0.1499 0.8087 0.5107 (multiplicity 4)
Cu5 0.1604 0.3529 0.3014 (multiplicity 4)
Cu6 0.1613 0.9484 0.8017 (multiplicity 4)
Te1 0.0005 0.6561 0.2508 (multiplicity 4)
Te2 0.1610 0.1582 0.5537 (multiplicity 4)
Te3 0.1615 0.1517 0.0532 (multiplicity 4)
O1 0.0688 0.6715 0.9133 (multiplicity 4)
O2 0.0698 0.6417 0.4145 (multiplicity 4)
O3 0.0722 0.8199 0.6841 (multiplicity 4)
O4 0.0727 0.4918 0.1856 (multiplicity 4)
O5 0.0744 0.8207 0.1918 (multiplicity 4)
O6 0.0745 0.4920 0.6916 (multiplicity 4)
O7 0.0765 0.1556 0.6848 (multiplicity 4)
O8 0.0767 0.1581 0.1852 (multiplicity 4)
O9 0.0984 0.9929 0.9538 (multiplicity 4)
O10 0.0989 0.3188 0.4553 (multiplicity 4)
O11 0.1017 0.9990 0.4516 (multiplicity 4)
O12 0.1032 0.3126 0.9517 (multiplicity 4)
O13 0.2212 0.3242 0.1443 (multiplicity 4)
O14 0.2205 0.9839 0.6417 (multiplicity 4)
O15 0.2395 0.0063 0.1471 (multiplicity 4)
O16 0.2403 0.3028 0.6469 (multiplicity 4)
O17 0.2450 0.6368 0.0723 (multiplicity 4)
O18 0.2463 0.6742 0.5739 (multiplicity 4)

Principal peaks in the range 2θ from 10° to 90°, most intense first:
35.2°, I 100, (1 3 -2)
35.3°, I 76, (3 3 0)
29.4°, I 73, (2 2 2)
28.2°, I 72, (4 0 -2)
54.8°, I 61, (7 3 -2)
32.8°, I 58, (4 2 1)
20.4°, I 57, (3 1 0)
33.7°, I 52, (3 1 3)
31.8°, I 52, (3 1 -3)
21.3°, I 45, (2 0 2)
35.9°, I 32, (6 0 0)
47.3°, I 30, (5 3 2)

***

(2)
TiCuO3: simulated PXRD pattern (Cu Kα), based on a cell relaxed with GGA-PBE.
Lines closer than 0.1° are merged.

Unit cell a=3.8508 b=3.8508 c=3.8508 alpha=90.00 beta=90.00 gamma=90.00
Space group Pm-3m (No. 221)
Asymmetric unit:
Ti1 0.0000 0.0000 0.0000 (multiplicity 1)
Cu1 0.5000 0.5000 0.5000 (multiplicity 1)
O1 0.0000 0.0000 0.5000 (multiplicity 3)

Principal peaks in the range 2θ from 10° to 90°, most intense first:
32.9°, I 100, (1 1 0)
47.2°, I 45, (2 0 0)
58.7°, I 35, (2 1 1)
69.0°, I 24, (2 2 0)
40.6°, I 18, (1 1 1)
78.6°, I 14, (3 1 0)
87.8°, I 8, (2 2 2)
83.2°, I 4, (3 1 1)

***

(3)
Ti4Cu2O: simulated PXRD pattern (Cu Kα), based on a cell relaxed with GGA-PBE.
Lines closer than 0.1° are merged.

Unit cell a=11.4685 b=11.4685 c=11.4685 alpha=90.00 beta=90.00 gamma=90.00
Space group F-43m (No. 216)
Asymmetric unit:
Ti1 0.0000 0.0000 0.1799 (multiplicity 24)
Ti2 0.0652 0.2500 0.2500 (multiplicity 24)
Ti3 0.0835 0.0835 0.4165 (multiplicity 16)
Cu1 0.1291 0.1291 0.6291 (multiplicity 16)
Cu2 0.1653 0.1653 0.8347 (multiplicity 16)
O1 0.1254 0.1254 0.1254 (multiplicity 16)

Principal peaks in the range 2θ from 10° to 90°, most intense first:
40.9°, I 100, (3 3 3)
44.7°, I 30, (4 4 0)
38.5°, I 28, (4 2 2)
69.6°, I 27, (6 6 0)
84.0°, I 17, (9 3 3)
13.4°, I 15, (1 1 1)
47.6°, I 13, (4 4 2)
53.0°, I 10, (6 2 2)
88.6°, I 8, (10 2 2)
34.1°, I 7, (3 3 1)
71.2°, I 7, (5 5 5)
46.9°, I 6, (5 3 1)

***

(4)
Ti4Cu2O: simulated PXRD pattern (Cu Kα), based on a cell relaxed with GGA-PBE.
Lines closer than 0.1° are merged.

Unit cell a=11.4470 b=11.4470 c=11.4470 alpha=90.00 beta=90.00 gamma=90.00
Space group Fd-3m (No. 227, origin choice 2)
Asymmetric unit:
Ti1 0.0000 0.0000 0.0000 (multiplicity 16)
Ti2 0.0557 0.3750 0.8750 (multiplicity 48)
Cu1 0.0416 0.0416 0.2084 (multiplicity 32)
O1 0.0000 0.0000 0.5000 (multiplicity 16)

Principal peaks in the range 2θ from 10° to 90°, most intense first:
41.0°, I 100, (3 3 3)
69.7°, I 28, (6 6 0)
38.5°, I 27, (4 2 2)
44.8°, I 19, (4 4 0)
84.1°, I 18, (9 3 3)
47.7°, I 16, (4 4 2)
13.4°, I 8, (1 1 1)
57.5°, I 8, (7 1 1)
76.2°, I 7, (8 4 2)
88.8°, I 7, (10 2 2)
71.4°, I 5, (5 5 5)
53.1°, I 5, (6 2 2)

***

Copy entry 2 word for word.
TiCuO3: simulated PXRD pattern (Cu Kα), based on a cell relaxed with GGA-PBE.
Lines closer than 0.1° are merged.

Unit cell a=3.8508 b=3.8508 c=3.8508 alpha=90.00 beta=90.00 gamma=90.00
Space group Pm-3m (No. 221)
Asymmetric unit:
Ti1 0.0000 0.0000 0.0000 (multiplicity 1)
Cu1 0.5000 0.5000 0.5000 (multiplicity 1)
O1 0.0000 0.0000 0.5000 (multiplicity 3)

Principal peaks in the range 2θ from 10° to 90°, most intense first:
32.9°, I 100, (1 1 0)
47.2°, I 45, (2 0 0)
58.7°, I 35, (2 1 1)
69.0°, I 24, (2 2 0)
40.6°, I 18, (1 1 1)
78.6°, I 14, (3 1 0)
87.8°, I 8, (2 2 2)
83.2°, I 4, (3 1 1)

***

Question: Which formula does entry 4 have?
Answer: Ti4Cu2O